Structure and simulated PXRD pattern of AcFeH2F8 (a crystal structure in Alexandria, relaxed with PBE+U; Cu Kα).
Intensities are scaled so that the largest is 100.

Structural model:
a = 4.490 Å, b = 4.499 Å, c = 8.072 Å
α = 91.67°, β = 90.91°, γ = 114.27°
Sites, in units of the cell vectors:
Ac 0.000 0.000 0.000
Fe 0.000 0.000 0.500
H 0.495 0.500 0.704
H 0.505 0.500 0.296
F 0.232 0.238 0.706
F 0.233 0.768 0.503
F 0.288 0.284 0.287
F 0.326 0.675 0.002
F 0.674 0.325 0.998
F 0.712 0.716 0.713
F 0.767 0.232 0.497
F 0.768 0.762 0.294

Most intense lines, 2θ = 5–70°, low angle first:
2θ 10.97, intensity 60.9, (0 0 1)
2θ 21.71, intensity 100.0, (1 0 0)
2θ 22.04, intensity 61.0, (0 0 2)
2θ 23.57, intensity 57.4, (1 -1 0)
2θ 24.73, intensity 21.1, (1 0 1)
2θ 30.49, intensity 24.9, (0 1 -2)
2θ 30.65, intensity 25.3, (1 0 -2)
2θ 31.63, intensity 21.4, (1 0 2)
2θ 31.74, intensity 22.1, (0 1 2)
2θ 40.34, intensity 27.6, (2 -1 0)
2θ 42.55, intensity 24.3, (1 1 -2)
2θ 44.23, intensity 25.1, (1 1 2)